Record 1
Starting from a DFT-relaxed cell (PBE, Alexandria), the powder diffractogram of Tb8Nd3Sc4 was calculated for Cu Kα (λ = 1.5418 Å).
Neutral-atom scattering factors, no anomalous dispersion.

Peak list (10 most intense, 5 to 70 degrees two-theta, by angle)
2θ 21.10, 4.211 Å, I = 44; 2θ 26.95, 3.308 Å, I = 30; 2θ 28.45, 3.137 Å, I = 21; 2θ 29.88, 2.991 Å, I = 100; 2θ 30.20, 2.959 Å, I = 71; 2θ 31.10, 2.876 Å, I = 26; 2θ 31.98, 2.799 Å, I = 18; 2θ 33.54, 2.672 Å, I = 50; 2θ 35.42, 2.534 Å, I = 45; 2θ 42.99, 2.104 Å, I = 43

Structural model:
```
15
Lattice="6.574 -5.984 0.000 6.574 5.984 0.000 -2.890 0.000 5.973" Properties=species:S:1:pos:R:3 pbc="T T T"
Tb 2.189 0.000 0.964
Tb 6.574 3.487 0.000
Tb 5.129 2.870 2.987
Tb 1.540 0.000 4.112
Tb 8.718 0.000 1.861
Tb 5.129 -2.870 2.987
Tb 6.574 -3.487 0.000
Tb 8.069 0.000 5.010
Nd -1.445 0.000 2.987
Nd 3.287 2.992 0.000
Nd 3.287 -2.992 0.000
Sc 1.842 2.992 2.987
Sc 1.842 -2.992 2.987
Sc 6.574 0.000 0.000
Sc 5.129 0.000 2.987
```

Record 2
Starting from a DFT-relaxed cell (PBE, Alexandria), the powder diffractogram of Gd7Ti8O26 was calculated for Cu Kα (λ = 1.5418 Å).
Neutral-atom scattering factors, no anomalous dispersion.

Peak list (10 most intense, 5 to 70 degrees two-theta, by angle)
2θ 15.14, 5.851 Å, I = 71; 2θ 28.63, 3.118 Å, I = 40; 2θ 29.71, 3.007 Å, I = 100; 2θ 29.96, 2.982 Å, I = 98; 2θ 30.07, 2.971 Å, I = 94; 2θ 30.56, 2.926 Å, I = 82; 2θ 34.84, 2.575 Å, I = 70; 2θ 34.91, 2.570 Å, I = 33; 2θ 50.03, 1.823 Å, I = 30; 2θ 59.34, 1.557 Å, I = 32

Structural model:
```
41
Lattice="7.217 0.000 0.000 0.023 7.346 0.000 0.210 0.129 10.288" Properties=species:S:1:pos:R:3 pbc="T T T"
Gd 0.000 0.000 0.000
Gd 0.039 3.762 0.066
Gd 1.727 5.676 2.796
Gd 2.038 1.795 7.586
Gd 3.778 3.968 5.189
Gd 4.047 0.190 4.925
Gd 5.737 2.146 7.531
Ti 0.276 0.180 5.194
Ti 0.448 3.910 5.372
Ti 2.111 5.746 7.897
Ti 2.070 1.970 2.548
Ti 3.844 0.513 10.267
Ti 3.963 3.591 10.271
Ti 5.594 5.772 7.778
Ti 5.575 1.739 2.327
O 0.267 2.027 8.975
O 0.283 5.691 8.428
O 0.179 1.907 1.688
O 0.221 5.588 1.208
O 0.322 2.039 6.018
O 0.305 5.685 4.598
O 1.489 3.424 3.865
O 1.734 7.174 6.475
O 1.674 0.565 3.872
O 1.819 4.160 6.546
O 2.408 7.247 9.063
O 2.348 0.329 1.357
O 2.374 3.522 1.347
O 2.578 4.456 9.180
O 3.686 5.654 3.847
O 3.873 2.050 9.170
O 3.857 1.982 6.302
O 3.894 5.689 6.930
O 3.862 2.088 3.338
O 5.272 7.055 9.091
O 5.156 0.369 1.223
O 5.207 3.322 1.215
O 5.387 4.200 8.955
O 5.918 4.086 6.180
O 6.015 7.219 6.448
O 6.085 0.866 3.938
```

Record 3
Starting from a DFT-relaxed cell (PBE, Alexandria), the powder diffractogram of Pr2Pd2Pt5Au was calculated for Cu Kα (λ = 1.5418 Å).
Neutral-atom scattering factors, no anomalous dispersion.

Peak list (10 most intense, 5 to 70 degrees two-theta, by angle)
2θ 29.81, 2.997 Å, I = 13; 2θ 34.11, 2.629 Å, I = 31; 2θ 36.73, 2.447 Å, I = 100; 2θ 39.19, 2.298 Å, I = 34; 2θ 40.38, 2.234 Å, I = 45; 2θ 42.66, 2.120 Å, I = 45; 2θ 59.31, 1.558 Å, I = 21; 2θ 61.92, 1.499 Å, I = 12; 2θ 66.14, 1.413 Å, I = 10; 2θ 66.97, 1.397 Å, I = 11

Structural model:
```
20
Lattice="9.477 0.000 0.000 0.000 9.477 0.000 0.000 0.000 4.239" Properties=species:S:1:pos:R:3 pbc="T T T"
Pr 1.680 3.058 0.000
Pr 3.058 7.797 0.000
Pr 6.418 1.680 0.000
Pr 7.797 6.418 0.000
Pd 1.149 5.888 0.000
Pd 3.589 1.149 0.000
Pd 5.888 8.328 0.000
Pd 8.328 3.589 0.000
Pt 0.000 4.738 2.120
Pt 0.567 7.541 2.120
Pt 1.936 0.567 2.120
Pt 2.802 5.306 2.120
Pt 4.171 2.802 2.120
Pt 4.738 0.000 2.120
Pt 5.306 6.674 2.120
Pt 6.674 4.171 2.120
Pt 7.541 8.910 2.120
Pt 8.910 1.936 2.120
Au 0.000 0.000 0.000
Au 4.738 4.738 0.000
```

Record 4
Starting from a DFT-relaxed cell (PBE, Alexandria), the powder diffractogram of Zr7Bi2H2Se was calculated for Cu Kα (λ = 1.5418 Å).
Neutral-atom scattering factors, no anomalous dispersion.

Peak list (10 most intense, 5 to 70 degrees two-theta, by angle)
2θ 29.32, 3.046 Å, I = 28; 2θ 30.25, 2.954 Å, I = 30; 2θ 32.82, 2.729 Å, I = 26; 2θ 33.42, 2.681 Å, I = 40; 2θ 35.77, 2.511 Å, I = 74; 2θ 36.41, 2.468 Å, I = 42; 2θ 36.74, 2.446 Å, I = 100; 2θ 37.58, 2.393 Å, I = 24; 2θ 41.94, 2.154 Å, I = 88; 2θ 57.80, 1.595 Å, I = 31

Structural model:
```
12
Lattice="3.054 -3.043 0.000 3.054 3.043 0.000 -2.436 0.000 12.339" Properties=species:S:1:pos:R:3 pbc="T T T"
Zr 0.000 0.000 0.000
Zr 1.532 1.526 2.247
Zr -0.033 0.000 4.897
Zr 2.140 1.526 10.092
Zr 1.532 -1.526 2.247
Zr 3.704 0.000 7.442
Zr 2.140 -1.526 10.092
Bi 0.616 0.000 7.848
Bi 3.055 0.000 4.491
H 0.008 0.000 2.157
H 3.663 0.000 10.182
Se 3.054 0.000 0.000
```

Copy entry 2 word for word.
Starting from a DFT-relaxed cell (PBE, Alexandria), the powder diffractogram of Gd7Ti8O26 was calculated for Cu Kα (λ = 1.5418 Å).
Neutral-atom scattering factors, no anomalous dispersion.

Peak list (10 most intense, 5 to 70 degrees two-theta, by angle)
2θ 15.14, 5.851 Å, I = 71; 2θ 28.63, 3.118 Å, I = 40; 2θ 29.71, 3.007 Å, I = 100; 2θ 29.96, 2.982 Å, I = 98; 2θ 30.07, 2.971 Å, I = 94; 2θ 30.56, 2.926 Å, I = 82; 2θ 34.84, 2.575 Å, I = 70; 2θ 34.91, 2.570 Å, I = 33; 2θ 50.03, 1.823 Å, I = 30; 2θ 59.34, 1.557 Å, I = 32

Structural model:
```
41
Lattice="7.217 0.000 0.000 0.023 7.346 0.000 0.210 0.129 10.288" Properties=species:S:1:pos:R:3 pbc="T T T"
Gd 0.000 0.000 0.000
Gd 0.039 3.762 0.066
Gd 1.727 5.676 2.796
Gd 2.038 1.795 7.586
Gd 3.778 3.968 5.189
Gd 4.047 0.190 4.925
Gd 5.737 2.146 7.531
Ti 0.276 0.180 5.194
Ti 0.448 3.910 5.372
Ti 2.111 5.746 7.897
Ti 2.070 1.970 2.548
Ti 3.844 0.513 10.267
Ti 3.963 3.591 10.271
Ti 5.594 5.772 7.778
Ti 5.575 1.739 2.327
O 0.267 2.027 8.975
O 0.283 5.691 8.428
O 0.179 1.907 1.688
O 0.221 5.588 1.208
O 0.322 2.039 6.018
O 0.305 5.685 4.598
O 1.489 3.424 3.865
O 1.734 7.174 6.475
O 1.674 0.565 3.872
O 1.819 4.160 6.546
O 2.408 7.247 9.063
O 2.348 0.329 1.357
O 2.374 3.522 1.347
O 2.578 4.456 9.180
O 3.686 5.654 3.847
O 3.873 2.050 9.170
O 3.857 1.982 6.302
O 3.894 5.689 6.930
O 3.862 2.088 3.338
O 5.272 7.055 9.091
O 5.156 0.369 1.223
O 5.207 3.322 1.215
O 5.387 4.200 8.955
O 5.918 4.086 6.180
O 6.015 7.219 6.448
O 6.085 0.866 3.938
```